Starting from the PBE geometry in Alexandria, the powder diffractogram of Mg4GaSn was computed for CuKα.
Neutral-atom scattering factors, no anomalous dispersion.

Principal peaks in the range 5° ≤ 2θ ≤ 70°, most intense first:
d (Å)	I/Imax
2.592	100
2.538	92
3.919	62
4.711	53
2.266	50
2.246	32
2.155	30
1.562	21
1.555	20
3.076	17

Cell and atoms:
```
Mg4GaSn
1.0
9.937 0.000 0.000
0.000 4.310 0.000
-2.062 0.000 6.152
Mg Ga Sn
8 2 2
direct
0.162 0.000 0.324 Mg
0.164 0.000 0.840 Mg
0.336 0.500 0.160 Mg
0.338 0.500 0.676 Mg
0.662 0.500 0.324 Mg
0.664 0.500 0.840 Mg
0.836 0.000 0.160 Mg
0.838 0.000 0.676 Mg
0.000 0.500 0.000 Ga
0.500 0.000 0.000 Ga
0.000 0.500 0.500 Sn
0.500 0.000 0.500 Sn
```

Starting from the PBE geometry in Alexandria, the powder diffractogram of SrMg5Ga2 was computed for CuKα.
Neutral-atom scattering factors, no anomalous dispersion.

Principal peaks in the range 5° ≤ 2θ ≤ 70°, most intense first:
d (Å)	I/Imax
3.151	100
2.761	57
2.143	56
4.131	56
2.219	47
2.917	45
2.238	35
1.576	31
1.602	20
2.346	20

Cell and atoms:
```
SrMg5Ga2
1.0
4.476 0.000 0.000
0.000 8.266 0.000
0.000 0.000 10.522
Sr Mg Ga
2 10 4
direct
0.000 0.000 0.000 Sr
0.500 0.500 0.500 Sr
0.000 0.182 0.343 Mg
0.000 0.182 0.657 Mg
0.000 0.500 0.000 Mg
0.000 0.818 0.343 Mg
0.000 0.818 0.657 Mg
0.500 0.000 0.500 Mg
0.500 0.318 0.157 Mg
0.500 0.318 0.843 Mg
0.500 0.682 0.157 Mg
0.500 0.682 0.843 Mg
0.000 0.500 0.261 Ga
0.000 0.500 0.739 Ga
0.500 0.000 0.239 Ga
0.500 0.000 0.761 Ga
```

Starting from the PBE geometry in Alexandria, the powder diffractogram of Sr8MgGa2 was computed for CuKα.
Neutral-atom scattering factors, no anomalous dispersion.

Principal peaks in the range 5° ≤ 2θ ≤ 70°, most intense first:
d (Å)	I/Imax
3.215	100
3.427	99
2.753	74
3.192	71
3.001	51
3.084	39
3.829	36
2.827	35
2.694	32
1.656	29

Cell and atoms:
```
Sr8MgGa2
1.0
5.102 -7.567 0.000
5.102 7.567 0.000
-1.627 0.000 6.096
Sr Mg Ga
8 1 2
direct
0.000 0.000 0.000 Sr
0.050 0.314 0.617 Sr
0.134 0.620 0.202 Sr
0.314 0.050 0.617 Sr
0.441 0.705 0.787 Sr
0.620 0.134 0.202 Sr
0.705 0.441 0.787 Sr
0.755 0.755 0.405 Sr
0.378 0.378 0.204 Mg
0.059 0.695 0.702 Ga
0.695 0.059 0.702 Ga
```

Starting from the PBE geometry in Alexandria, the powder diffractogram of SrMg9Ga3 was computed for CuKα.
Neutral-atom scattering factors, no anomalous dispersion.

Principal peaks in the range 5° ≤ 2θ ≤ 70°, most intense first:
d (Å)	I/Imax
2.523	100
2.483	50
3.587	26
3.552	25
5.051	20
2.266	19
2.929	18
1.465	15
2.244	14
7.113	14

Cell and atoms:
```
SrMg9Ga3
1.0
2.878 -7.174 0.000
2.878 7.174 0.000
-2.699 0.000 7.113
Sr Mg Ga
1 9 3
direct
0.000 0.000 0.000 Sr
0.000 0.000 0.500 Mg
0.007 0.651 0.649 Mg
0.286 0.507 0.784 Mg
0.349 0.993 0.351 Mg
0.493 0.714 0.216 Mg
0.507 0.286 0.784 Mg
0.651 0.007 0.649 Mg
0.714 0.493 0.216 Mg
0.993 0.349 0.351 Mg
0.000 0.500 0.000 Ga
0.500 0.000 0.000 Ga
0.500 0.500 0.500 Ga
```

Starting from the PBE geometry in Alexandria, the powder diffractogram of Sr2Mg12Zn3Ga was computed for CuKα.
Neutral-atom scattering factors, no anomalous dispersion.

Principal peaks in the range 5° ≤ 2θ ≤ 70°, most intense first:
d (Å)	I/Imax
3.460	100
2.458	59
2.578	43
1.836	37
3.115	34
3.163	30
5.167	29
2.076	27
2.787	19
2.512	19

Cell and atoms:
```
Sr2Mg12Zn3Ga
1.0
3.671 2.120 10.335
-3.671 2.120 10.335
0.000 -4.239 10.335
Sr Mg Zn Ga
2 12 3 1
direct
0.145 0.145 0.145 Sr
0.855 0.855 0.855 Sr
0.092 0.092 0.684 Mg
0.092 0.684 0.092 Mg
0.138 0.579 0.579 Mg
0.316 0.908 0.908 Mg
0.421 0.421 0.862 Mg
0.421 0.862 0.421 Mg
0.579 0.138 0.579 Mg
0.579 0.579 0.138 Mg
0.684 0.092 0.092 Mg
0.862 0.421 0.421 Mg
0.908 0.316 0.908 Mg
0.908 0.908 0.316 Mg
0.000 0.500 0.500 Zn
0.500 0.000 0.500 Zn
0.500 0.500 0.000 Zn
0.500 0.500 0.500 Ga
```

Starting from the PBE geometry in Alexandria, the powder diffractogram of SrMg2Zn2Ga2 was computed for CuKα.
Neutral-atom scattering factors, no anomalous dispersion.

Principal peaks in the range 5° ≤ 2θ ≤ 70°, most intense first:
d (Å)	I/Imax
2.221	100
2.708	57
3.120	40
1.571	33
4.447	30
3.332	23
2.520	21
1.987	20
1.717	14
1.358	12

Cell and atoms:
```
SrMg2Zn2Ga2
1.0
2.221 1.282 8.895
-2.221 1.282 8.895
0.000 -2.564 8.895
Sr Mg Zn Ga
1 2 2 2
direct
0.000 0.000 0.000 Sr
0.137 0.137 0.137 Mg
0.863 0.863 0.863 Mg
0.421 0.421 0.421 Zn
0.579 0.579 0.579 Zn
0.249 0.249 0.249 Ga
0.751 0.751 0.751 Ga
```

Starting from the PBE geometry in Alexandria, the powder diffractogram of TbMg3Ga3 was computed for CuKα.
Neutral-atom scattering factors, no anomalous dispersion.

Principal peaks in the range 5° ≤ 2θ ≤ 70°, most intense first:
d (Å)	I/Imax
2.969	100
1.944	59
3.636	42
1.818	19
3.252	17
1.626	17
1.551	14
5.143	9
2.017	5
1.587	4

Cell and atoms:
```
TbMg3Ga3
1.0
7.273 0.000 0.000
0.000 7.273 0.000
0.000 0.000 7.273
Tb Mg Ga
2 6 6
direct
0.000 0.000 0.000 Tb
0.500 0.500 0.500 Tb
0.000 0.250 0.500 Mg
0.000 0.750 0.500 Mg
0.250 0.500 0.000 Mg
0.500 0.000 0.250 Mg
0.500 0.000 0.750 Mg
0.750 0.500 0.000 Mg
0.000 0.500 0.250 Ga
0.000 0.500 0.750 Ga
0.250 0.000 0.500 Ga
0.500 0.250 0.000 Ga
0.500 0.750 0.000 Ga
0.750 0.000 0.500 Ga
```

Starting from the PBE geometry in Alexandria, the powder diffractogram of TbMg2Ga4 was computed for CuKα.
Neutral-atom scattering factors, no anomalous dispersion.

Principal peaks in the range 5° ≤ 2θ ≤ 70°, most intense first:
d (Å)	I/Imax
8.175	100
2.763	79
2.541	70
2.457	67
2.071	52
2.121	35
2.692	35
2.644	32
2.875	31
2.054	30

Cell and atoms:
```
TbMg2Ga4
1.0
8.246 -2.935 0.000
8.246 2.935 0.000
-0.777 0.000 5.846
Tb Mg Ga
2 4 8
direct
0.230 0.770 0.750 Tb
0.770 0.230 0.250 Tb
0.233 0.379 0.848 Mg
0.379 0.233 0.348 Mg
0.621 0.767 0.652 Mg
0.767 0.621 0.152 Mg
0.114 0.206 0.528 Ga
0.201 0.647 0.210 Ga
0.206 0.114 0.028 Ga
0.353 0.799 0.290 Ga
0.647 0.201 0.710 Ga
0.794 0.886 0.972 Ga
0.799 0.353 0.790 Ga
0.886 0.794 0.472 Ga
```